Record 1
Starting from a cell relaxed with PBE, the powder diffractogram of CeMg14Cd was simulated for copper Kα.

Principal peaks in the range 15° ≤ 2θ ≤ 90°, low angle first:
| two_theta | intensity |
| --- | --- |
| 15.6 | 28 |
| 17.2 | 23 |
| 17.8 | 41 |
| 23.3 | 22 |
| 31.8 | 33 |
| 32.7 | 19 |
| 33.0 | 18 |
| 34.8 | 37 |
| 36.0 | 54 |
| 36.4 | 100 |
| 47.9 | 22 |
| 67.8 | 19 |

Crystal structure
abc: 10.3213 6.5507 6.5507
angles: 59.11 90.00 90.00
Element x y z (fractional)
Ce 0.0000 0.0000 0.0000
Mg 0.0000 0.0110 0.4928
Mg 0.0000 0.4928 0.0110
Mg 0.2330 0.6544 0.6544
Mg 0.2540 0.1561 0.6581
Mg 0.2540 0.6581 0.1561
Mg 0.2567 0.1598 0.1598
Mg 0.5000 0.4935 0.4935
Mg 0.5000 0.4964 0.9865
Mg 0.5000 0.9865 0.4964
Mg 0.5000 0.9926 0.9926
Mg 0.7433 0.1598 0.1598
Mg 0.7460 0.1561 0.6581
Mg 0.7460 0.6581 0.1561
Mg 0.7670 0.6544 0.6544
Cd 0.0000 0.4834 0.4834

---

Record 2
Starting from a cell relaxed with PBE, the powder diffractogram of Pm4PrS5 was simulated for copper Kα.

Principal peaks in the range 15° ≤ 2θ ≤ 90°, low angle first:
| two_theta | intensity |
| --- | --- |
| 27.0 | 75 |
| 31.2 | 100 |
| 44.8 | 72 |
| 53.1 | 37 |
| 55.6 | 25 |
| 65.2 | 12 |
| 71.9 | 15 |
| 74.0 | 21 |
| 74.1 | 11 |
| 82.5 | 24 |
| 88.8 | 9 |
| 88.9 | 3 |

Crystal structure
abc: 10.7180 10.7180 10.7180
angles: 158.23 149.04 38.17
Element x y z (fractional)
Pm 0.0999 0.0999 0.0000
Pm 0.2991 0.2991 0.0000
Pm 0.7009 0.7009 0.0000
Pm 0.9001 0.9001 0.0000
Pr 0.5000 0.5000 0.0000
S 0.0000 0.5000 0.5000
S 0.1996 0.6996 0.5000
S 0.3978 0.8978 0.5000
S 0.6022 0.1022 0.5000
S 0.8004 0.3004 0.5000

---

Record 3
Starting from a cell relaxed with PBE, the powder diffractogram of RbNaCd2Bi2 was simulated for copper Kα.

Principal peaks in the range 15° ≤ 2θ ≤ 90°, low angle first:
| two_theta | intensity |
| --- | --- |
| 19.0 | 29 |
| 20.4 | 31 |
| 22.5 | 74 |
| 28.0 | 78 |
| 28.7 | 21 |
| 35.4 | 67 |
| 35.7 | 100 |
| 40.7 | 27 |
| 46.4 | 34 |
| 51.2 | 24 |
| 53.4 | 26 |
| 63.9 | 25 |

Crystal structure
abc: 5.0336 5.0336 9.3372
angles: 90.00 90.00 120.00
Element x y z (fractional)
Rb 0.0000 0.0000 0.0000
Na 0.0000 0.0000 0.5000
Cd 0.3333 0.6667 0.3589
Cd 0.6667 0.3333 0.6411
Bi 0.3333 0.6667 0.7257
Bi 0.6667 0.3333 0.2743